Starting from the PBE geometry in Alexandria, the powder X-ray diffraction pattern of Pr5Sm6Sc was calculated for copper Kα.

Most intense lines, 2θ = 5–70°, sorted by position:
7.4°, rel. 1, hkl 0 0 1; 14.9°, rel. 1, hkl 0 0 2; 30.1°, rel. 100, hkl 1 3 1; 34.9°, rel. 51, hkl 2 0 2; 50.2°, rel. 30, hkl 3 3 -1; 50.2°, rel. 6, hkl 0 6 0; 59.6°, rel. 7, hkl 1 3 -7; 59.6°, rel. 36, hkl 4 0 0; 62.5°, rel. 3, hkl 0 0 8; 62.6°, rel. 9, hkl 4 0 -4

```
data_Pr5Sm6Sc
_cell_length_a 6.2942
_cell_length_b 10.8985
_cell_length_c 12.0783
_cell_angle_alpha 90.00
_cell_angle_beta 100.04
_cell_angle_gamma 90.00
_symmetry_space_group_name_H-M 'C 1 2/m 1'
_symmetry_Int_Tables_number 12
_symmetry_space_group_name_Hall '-C 2y'
loop_
_atom_site_label
_atom_site_fract_x
_atom_site_fract_y
_atom_site_fract_z
Pr1 0.0000 0.0000 0.0000
Pr2 0.0000 0.1667 0.5000
Pr3 0.0000 0.3335 0.0000
Sm1 0.2458 0.3354 0.7464
Sm2 0.2479 0.5000 0.2533
Sc1 0.0000 0.5000 0.5000
```


Starting from the PBE geometry in Alexandria, the powder X-ray diffraction pattern of Ce3MnN5 was calculated for copper Kα.

Most intense lines, 2θ = 5–70°, sorted by position:
25.0°, rel. 24, hkl 1 1 2; 31.5°, rel. 56, hkl 2 1 1; 31.6°, rel. 100, hkl 2 0 2; 32.2°, rel. 41, hkl 0 0 4; 38.7°, rel. 23, hkl 2 2 0; 39.1°, rel. 57, hkl 2 1 3; 43.5°, rel. 23, hkl 3 1 0; 51.2°, rel. 19, hkl 2 2 4; 57.0°, rel. 20, hkl 2 0 6; 58.5°, rel. 26, hkl 4 0 2

```
data_Ce3MnN5
_cell_length_a 6.5783
_cell_length_b 6.5783
_cell_length_c 11.1210
_cell_angle_alpha 90.00
_cell_angle_beta 90.00
_cell_angle_gamma 90.00
_symmetry_space_group_name_H-M 'I 4/m c m'
_symmetry_Int_Tables_number 140
_symmetry_space_group_name_Hall '-I 4 2c'
loop_
_atom_site_label
_atom_site_fract_x
_atom_site_fract_y
_atom_site_fract_z
Ce1 0.0000 0.0000 0.2500
Ce2 0.1731 0.3269 0.0000
Mn1 0.0000 0.5000 0.2500
N1 0.0000 0.0000 0.0000
N2 0.1461 0.3539 0.3536
```


Starting from the PBE geometry in Alexandria, the powder X-ray diffraction pattern of Pr4NdAg was calculated for copper Kα.

Most intense lines, 2θ = 5–70°, sorted by position:
27.8°, rel. 14, hkl 0 6 1; 28.0°, rel. 22, hkl 0 2 2; 29.2°, rel. 100, hkl 1 5 1; 31.6°, rel. 47, hkl 1 1 2; 32.2°, rel. 53, hkl 2 0 0; 33.7°, rel. 26, hkl 1 3 2; 35.5°, rel. 37, hkl 1 7 1; 43.2°, rel. 14, hkl 2 2 2; 55.6°, rel. 26, hkl 3 5 1; 58.0°, rel. 13, hkl 0 4 4

```
data_Pr4NdAg
_cell_length_a 5.5619
_cell_length_b 21.9351
_cell_length_c 6.6570
_cell_angle_alpha 90.00
_cell_angle_beta 90.00
_cell_angle_gamma 90.00
_symmetry_space_group_name_H-M 'C m c 21'
_symmetry_Int_Tables_number 36
_symmetry_space_group_name_Hall 'C 2c -2'
loop_
_atom_site_label
_atom_site_fract_x
_atom_site_fract_y
_atom_site_fract_z
Pr1 0.0000 0.0264 0.0000
Pr2 0.0000 0.1646 0.8021
Pr3 0.0000 0.2492 0.2483
Pr4 0.0000 0.4344 0.1540
Nd1 0.0000 0.3670 0.6499
Ag1 0.0000 0.1119 0.3740
```